[1]
Diffraction record for Ho2Re. The powder diffractogram is simulated, not measured: it uses a DFT-relaxed cell (PBE, OQMD) and Cu Ka.

Principal peaks in the range 10° ≤ 2θ ≤ 80°, by angle:
2θ (°)  I/Imax  hkl
22.84  31  1 1 1
26.44  10  2 0 0
37.74  100  2 2 0
44.57  16  3 1 1
54.43  18  4 0 0
59.78  7  3 3 1
68.13  36  4 2 2
72.90  5  5 1 1

Atomic structure:
abc: 6.743 6.743 6.743
angles: 90.00 90.00 90.00
Space group Fm-3m (No. 225)
Asymmetric unit:
1 Ho 0.250 0.250 0.250 [8 per cell]
2 Re 0.000 0.000 0.000 [4 per cell]

[2]
Diffraction record for Ho3ReTe5. The powder diffractogram is simulated, not measured: it uses a DFT-relaxed cell (PBE, OQMD) and Cu Ka.

Principal peaks in the range 10° ≤ 2θ ≤ 80°, by angle:
2θ (°)  I/Imax  hkl
11.79  36  1 0 0
31.35  100  1 1 1
31.54  34  2 1 0
33.60  51  2 0 1
35.89  65  3 0 0
39.68  60  2 1 1
58.90  24  3 2 1
61.35  28  3 0 2

Atomic structure:
abc: 8.6671 8.6671 3.7920
angles: 90.00 90.00 120.00
Space group P-62m (No. 189)
Asymmetric unit:
1 Ho 0.0000 0.6419 0.0000 [3 per cell]
2 Re 0.0000 0.0000 0.0000 [1 per cell]
3 Te 0.0000 0.2267 0.5000 [3 per cell]
4 Te 0.3333 0.6667 0.5000 [2 per cell]

[3]
Diffraction record for Ho2Sb. The powder diffractogram is simulated, not measured: it uses a DFT-relaxed cell (PBE, OQMD) and Cu Ka.

Principal peaks in the range 10° ≤ 2θ ≤ 80°, by angle:
2θ (°)  I/Imax  hkl
29.89  100  1 1 2
30.40  53  2 1 0
31.81  63  2 1 1
34.74  40  0 1 3
36.55  33  1 1 3
38.40  36  3 0 2
41.91  32  0 2 0
58.14  25  3 2 2

Atomic structure:
abc: 8.040 4.311 9.675
angles: 90.00 90.00 90.00
Space group Pnma (No. 62)
Asymmetric unit:
1 Ho 0.045 0.250 0.169 [4 per cell]
2 Ho 0.131 0.250 0.565 [4 per cell]
3 Sb 0.240 0.250 0.864 [4 per cell]

[4]
Diffraction record for SmHoSc2Sb2. The powder diffractogram is simulated, not measured: it uses a DFT-relaxed cell (PBE, OQMD) and Cu Ka.

Principal peaks in the range 10° ≤ 2θ ≤ 80°, by angle:
2θ (°)  I/Imax  hkl
28.88  100  1 1 0
30.92  66  1 1 2
34.24  82  1 0 5
36.44  88  1 1 4
41.29  73  2 0 0
53.76  31  2 0 6
54.70  66  1 0 9
70.79  31  2 1 9

Atomic structure:
abc: 4.373 4.373 16.347
angles: 90.00 90.00 90.00
Space group I4mm (No. 107)
Asymmetric unit:
1 Sm 0.000 0.000 0.000 [2 per cell]
2 Ho 0.000 0.000 0.352 [2 per cell]
3 Sc 0.000 0.500 0.177 [4 per cell]
4 Sb 0.000 0.000 0.547 [2 per cell]
5 Sb 0.000 0.000 0.806 [2 per cell]

[5]
Diffraction record for HoZr2ScSb2. The powder diffractogram is simulated, not measured: it uses a DFT-relaxed cell (PBE, OQMD) and Cu Ka.

Principal peaks in the range 10° ≤ 2θ ≤ 80°, by angle:
2θ (°)  I/Imax  hkl
21.79  36  0 0 4
29.95  26  1 1 0
31.95  85  1 1 2
33.04  35  0 0 6
34.82  35  1 0 5
37.38  100  1 1 4
42.86  58  2 0 0
55.17  32  2 0 6

Atomic structure:
abc: 4.220 4.220 16.265
angles: 90.00 90.00 90.00
Space group I4mm (No. 107)
Asymmetric unit:
1 Ho 0.000 0.000 0.000 [2 per cell]
2 Zr 0.000 0.500 0.178 [4 per cell]
3 Sc 0.000 0.000 0.351 [2 per cell]
4 Sb 0.000 0.000 0.540 [2 per cell]
5 Sb 0.000 0.000 0.814 [2 per cell]

[6]
Diffraction record for Ho6SiSb3. The powder diffractogram is simulated, not measured: it uses a DFT-relaxed cell (PBE, OQMD) and Cu Ka.

Principal peaks in the range 10° ≤ 2θ ≤ 80°, by angle:
2θ (°)  I/Imax  hkl
23.28  100  2 0 0
27.25  61  2 1 1
31.49  58  0 0 4
35.37  40  2 1 3
36.13  28  3 0 1
36.84  49  2 2 2
39.53  49  2 0 4
56.21  25  4 2 2

Atomic structure:
abc: 7.642 7.642 11.363
angles: 90.00 90.00 90.00
Space group I4/mmm (No. 139)
Asymmetric unit:
1 Ho 0.000 0.000 0.243 [4 per cell]
2 Ho 0.000 0.328 0.000 [8 per cell]
3 Si 0.000 0.000 0.000 [2 per cell]
4 Sb 0.000 0.000 0.500 [2 per cell]
5 Sb 0.000 0.500 0.250 [4 per cell]